Entry 1:
Structure and simulated powder diffractogram of MnAuSe2 (a structure optimized by DFT (GGA-PBE); CuKα).

Structure:
a b c (Å): 3.133 6.620 9.301
angles (deg): 75.01 90.00 76.52
Space group P-1 (No. 2)
One atom of each set of equivalent atoms:
Mn1 0.193 0.116 0.334 x2
Au1 0.307 0.884 0.927 x2
Se1 0.158 0.186 0.586 x2
Se2 0.448 0.597 0.777 x2

Principal peaks in the range 10 to 90 degrees two-theta, low angle first:
2θ 14.3, rel. 1000, (0 1 0)
2θ 19.4, rel. 597, (0 1 -1)
2θ 27.5, rel. 804, (0 1 -2)
2θ 30.4, rel. 545, (1 0 -1)
2θ 30.5, rel. 333, (1 1 1)
2θ 35.7, rel. 365, (0 2 3)
2θ 38.3, rel. 391, (1 2 2)
2θ 38.9, rel. 680, (0 1 4)
2θ 39.0, rel. 307, (1 2 -1)
2θ 43.0, rel. 336, (0 2 4)

---

Entry 2:
Structure and simulated powder diffractogram of MnAuSe2 (a structure optimized by DFT (GGA-PBE); CuKα).

Structure:
a b c (Å): 5.583 6.495 5.612
angles (deg): 90.00 90.00 90.00
Space group Pccm (No. 49)
One atom of each set of equivalent atoms:
Mn1 0.000 0.000 0.250 x2
Au1 0.500 0.000 0.000 x2
Se1 0.165 0.256 0.000 x4

Principal peaks in the range 10 to 90 degrees two-theta, low angle first:
2θ 13.6, rel. 1000, (0 1 0)
2θ 21.0, rel. 244, (1 1 0)
2θ 26.4, rel. 273, (1 1 1)
2θ 31.9, rel. 414, (0 0 2)
2θ 35.0, rel. 226, (2 1 0)
2θ 38.5, rel. 349, (1 1 2)
2θ 42.7, rel. 214, (2 2 0)
2θ 45.7, rel. 361, (1 2 2)
2θ 56.2, rel. 138, (1 3 2)
2θ 59.6, rel. 123, (3 0 2)

---

Entry 3:
Structure and simulated powder diffractogram of MnAuSe2 (a structure optimized by DFT (GGA-PBE); CuKα).

Structure:
a b c (Å): 3.348 7.843 9.127
angles (deg): 112.09 100.23 91.63
Space group P-1 (No. 2)
One atom of each set of equivalent atoms:
Mn1 0.190 0.392 0.391 x2
Au1 0.500 0.000 0.000 x1
Au2 0.500 0.500 0.000 x1
Se1 0.255 0.720 0.479 x2
Se2 0.417 0.673 0.824 x2

Principal peaks in the range 10 to 90 degrees two-theta, low angle first:
2θ 10.7, rel. 756, (0 0 1)
2θ 12.2, rel. 546, (0 1 0)
2θ 12.8, rel. 623, (0 1 -1)
2θ 21.5, rel. 859, (0 0 2)
2θ 27.2, rel. 1000, (1 0 0)
2θ 30.6, rel. 703, (0 2 1)
2θ 31.2, rel. 462, (1 0 -2)
2θ 31.3, rel. 377, (1 0 1)
2θ 32.3, rel. 468, (0 2 -3)
2θ 46.4, rel. 319, (0 4 -2)

---

Entry 4:
Structure and simulated powder diffractogram of MnSiAu (a structure optimized by DFT (GGA-PBE); CuKα).

Structure:
a b c (Å): 2.746 3.404 9.445
angles (deg): 90.00 90.00 90.00
Space group Imm2 (No. 44)
One atom of each set of equivalent atoms:
Mn1 0.000 0.000 0.000 x2
Si1 0.000 0.000 0.614 x2
Au1 0.000 0.000 0.306 x2

Principal peaks in the range 10 to 90 degrees two-theta, low angle first:
2θ 18.8, rel. 695, (0 0 2)
2θ 27.9, rel. 933, (0 1 1)
2θ 34.0, rel. 567, (1 0 1)
2θ 38.1, rel. 324, (0 0 4)
2θ 39.0, rel. 1000, (0 1 3)
2θ 42.3, rel. 852, (1 1 0)
2θ 43.7, rel. 719, (1 0 3)
2θ 46.7, rel. 308, (1 1 2)
2θ 58.2, rel. 379, (1 1 4)
2θ 71.8, rel. 328, (1 2 3)

---

Entry 5:
Structure and simulated powder diffractogram of MnTe4Au2 (a structure optimized by DFT (GGA-PBE); CuKα).

Structure:
a b c (Å): 11.553 11.656 8.187
angles (deg): 90.00 134.75 90.00
Space group C2/c (No. 15)
One atom of each set of equivalent atoms:
Mn1 0.000 0.124 0.250 x4
Te1 0.002 0.255 0.509 x8
Te2 0.242 0.495 0.991 x8
Au1 0.000 0.500 0.000 x4
Au2 0.250 0.250 0.000 x4

Principal peaks in the range 10 to 90 degrees two-theta, low angle first:
2θ 13.2, rel. 620, (1 1 0)
2θ 25.4, rel. 487, (1 1 -2)
2θ 25.5, rel. 258, (3 1 -1)
2θ 30.7, rel. 1000, (0 4 0)
2θ 31.0, rel. 492, (4 0 -2)
2θ 44.0, rel. 479, (0 4 2)
2θ 44.1, rel. 713, (4 0 0)
2θ 44.3, rel. 237, (4 0 -4)
2θ 54.8, rel. 392, (4 4 0)
2θ 81.0, rel. 236, (4 8 0)

---

Entry 6:
Structure and simulated powder diffractogram of MnTe4Au (a structure optimized by DFT (GGA-PBE); CuKα).

Structure:
a b c (Å): 13.142 4.010 7.241
angles (deg): 90.00 122.70 90.00
Space group C2/m (No. 12)
One atom of each set of equivalent atoms:
Mn1 0.000 0.000 0.000 x2
Te1 0.122 0.500 0.292 x4
Te2 0.146 0.000 0.848 x4
Au1 0.000 0.500 0.500 x2

Principal peaks in the range 10 to 90 degrees two-theta, low angle first:
2θ 16.0, rel. 172, (2 0 0)
2θ 29.7, rel. 428, (4 0 -2)
2θ 30.1, rel. 1000, (1 1 1)
2θ 40.8, rel. 162, (2 0 2)
2θ 41.3, rel. 109, (6 0 -2)
2θ 41.7, rel. 252, (5 1 -1)
2θ 43.8, rel. 341, (3 1 -3)
2θ 45.2, rel. 184, (0 2 0)
2θ 55.0, rel. 149, (4 2 -2)
2θ 56.5, rel. 116, (7 1 -1)

---

Entry 7:
Structure and simulated powder diffractogram of Th7Mn2Au2 (a structure optimized by DFT (GGA-PBE); CuKα).

Structure:
a b c (Å): 3.817 15.577 9.821
angles (deg): 90.00 90.00 90.00
Space group Imm2 (No. 44)
One atom of each set of equivalent atoms:
Th1 0.000 0.000 0.000 x2
Th2 0.000 0.132 0.597 x4
Th3 0.000 0.312 0.388 x4
Th4 0.000 0.357 0.738 x4
Mn1 0.000 0.231 0.080 x4
Au1 0.000 0.000 0.345 x2
Au2 0.000 0.500 0.243 x2

Principal peaks in the range 10 to 90 degrees two-theta, low angle first:
2θ 29.0, rel. 211, (1 3 0)
2θ 30.1, rel. 232, (0 5 1)
2θ 30.2, rel. 502, (1 1 2)
2θ 32.3, rel. 800, (0 3 3)
2θ 34.1, rel. 1000, (1 4 1)
2θ 34.4, rel. 557, (1 3 2)
2θ 34.5, rel. 248, (0 6 0)
2θ 36.1, rel. 236, (1 0 3)
2θ 47.7, rel. 287, (2 0 0)
2θ 58.8, rel. 303, (2 3 3)

---

Entry 8:
Structure and simulated powder diffractogram of Th6Mn2Au (a structure optimized by DFT (GGA-PBE); CuKα).

Structure:
a b c (Å): 9.244 9.493 10.681
angles (deg): 90.00 90.00 90.00
Space group Immm (No. 71)
One atom of each set of equivalent atoms:
Th1 0.000 0.197 0.237 x8
Th2 0.191 0.500 0.167 x8
Th3 0.206 0.313 0.500 x8
Mn1 0.000 0.338 0.000 x4
Mn2 0.000 0.500 0.377 x4
Au1 0.000 0.000 0.000 x2
Au2 0.000 0.000 0.500 x2

Principal peaks in the range 10 to 90 degrees two-theta, low angle first:
2θ 26.8, rel. 298, (0 1 3)
2θ 29.4, rel. 216, (0 3 1)
2θ 30.5, rel. 377, (3 1 0)
2θ 31.8, rel. 1000, (2 2 2)
2θ 33.1, rel. 329, (2 1 3)
2θ 34.3, rel. 602, (1 3 2)
2θ 35.4, rel. 281, (2 3 1)
2θ 35.7, rel. 226, (3 2 1)
2θ 38.7, rel. 355, (0 2 4)
2θ 60.5, rel. 332, (5 3 2)

---

Entry 9:
Structure and simulated powder diffractogram of Mn2TlAu (a structure optimized by DFT (GGA-PBE); CuKα).

Structure:
a b c (Å): 4.350 4.350 3.805
angles (deg): 90.00 90.00 90.00
Space group P4/mmm (No. 123)
One atom of each set of equivalent atoms:
Mn1 0.000 0.500 0.000 x2
Tl1 0.000 0.000 0.500 x1
Au1 0.500 0.500 0.500 x1

Principal peaks in the range 10 to 90 degrees two-theta, low angle first:
2θ 23.4, rel. 254, (0 0 1)
2θ 29.0, rel. 303, (1 1 0)
2θ 37.6, rel. 1000, (1 1 1)
2θ 41.5, rel. 379, (2 0 0)
2θ 47.8, rel. 126, (0 0 2)
2θ 48.2, rel. 162, (2 0 1)
2θ 60.2, rel. 126, (2 2 0)
2θ 65.1, rel. 198, (2 0 2)
2θ 73.2, rel. 282, (3 1 1)
2θ 80.3, rel. 110, (2 2 2)

---

Entry 10:
Structure and simulated powder diffractogram of UMnAu (a structure optimized by DFT (GGA-PBE); CuKα).

Structure:
a b c (Å): 6.386 5.308 8.963
angles (deg): 90.00 130.69 90.00
Space group P2_1/c (No. 14)
One atom of each set of equivalent atoms:
U1 0.095 0.127 0.386 x4
Mn1 0.083 0.139 0.147 x4
Au1 0.450 0.625 0.651 x4

Principal peaks in the range 10 to 90 degrees two-theta, low angle first:
2θ 28.0, rel. 554, (2 0 -2)
2θ 31.3, rel. 522, (0 1 2)
2θ 33.5, rel. 487, (1 1 1)
2θ 35.2, rel. 418, (1 1 -3)
2θ 36.7, rel. 1000, (1 2 -1)
2θ 37.1, rel. 192, (2 0 0)
2θ 41.0, rel. 293, (2 1 0)
2θ 43.9, rel. 264, (2 1 -4)
2θ 54.0, rel. 162, (0 0 4)
2θ 68.1, rel. 168, (1 2 -5)

---

Entry 11:
Structure and simulated powder diffractogram of Y3MnAu5 (a structure optimized by DFT (GGA-PBE); CuKα).

Structure:
a b c (Å): 8.5661 8.5661 18.2450
angles (deg): 90.00 90.00 120.00
Space group R-3 (No. 148, hexagonal axes)
One atom of each set of equivalent atoms:
Y1 0.0103 0.7198 0.0990 x18
Mn1 0.0000 0.0000 0.3460 x6
Au1 0.0000 0.0000 0.0000 x3
Au2 0.0000 0.0000 0.1987 x6
Au3 0.0000 0.0000 0.5000 x3
Au4 0.0036 0.6194 0.9369 x18

Principal peaks in the range 10 to 90 degrees two-theta, low angle first:
2θ 25.4, rel. 327, (1 1 3)
2θ 33.4, rel. 136, (1 2 2)
2θ 36.2, rel. 979, (2 -1 6)
2θ 36.3, rel. 1000, (3 0 0)
2θ 37.7, rel. 205, (2 1 4)
2θ 40.6, rel. 145, (1 2 5)
2θ 52.2, rel. 224, (2 2 6)
2θ 65.1, rel. 135, (1 1 12)
2θ 65.3, rel. 252, (3 3 0)
2θ 68.8, rel. 124, (1 3 10)

---

Entry 12:
Structure and simulated powder diffractogram of MnZn8Au6 (a structure optimized by DFT (GGA-PBE); CuKα).

Structure:
a b c (Å): 7.6079 7.6079 16.1761
angles (deg): 90.00 90.00 120.00
Space group R-3 (No. 148, hexagonal axes)
One atom of each set of equivalent atoms:
Mn1 0.0000 0.0000 0.0000 x3
Zn1 0.0000 0.0000 0.3336 x6
Zn2 0.0005 0.3229 0.1181 x18
Au1 0.0006 0.6620 0.0556 x18

Principal peaks in the range 10 to 90 degrees two-theta, low angle first:
2θ 16.4, rel. 127, (0 0 3)
2θ 23.4, rel. 224, (1 1 0)
2θ 28.7, rel. 262, (1 1 3)
2θ 41.1, rel. 1000, (3 0 0)
2θ 44.5, rel. 65, (3 0 3)
2θ 50.9, rel. 57, (4 -2 3)
2θ 59.5, rel. 175, (4 -2 6)
2θ 67.4, rel. 79, (3 0 9)
2θ 74.7, rel. 79, (2 -1 12)
2θ 74.9, rel. 253, (3 3 0)